Entry 1:
Computed powder diffraction line list
Compound: Th6Fe3Bi
Radiation: Cu Kα
Structure: a structure optimized by DFT (PBE)

Structural model:
a = 11.3267 Å, b = 4.0608 Å, c = 12.1221 Å
α = 90.00°, β = 103.74°, γ = 90.00°
Space group P2_1/m (No. 11)
Asymmetric unit:
1 Th 0.0062 0.2500 0.1221 (multiplicity 2)
2 Th 0.1103 0.7500 0.4568 (multiplicity 2)
3 Th 0.1887 0.2500 0.7577 (multiplicity 2)
4 Th 0.2884 0.2500 0.2946 (multiplicity 2)
5 Th 0.3146 0.7500 0.0398 (multiplicity 2)
6 Th 0.4186 0.2500 0.5902 (multiplicity 2)
7 Fe 0.0147 0.7500 0.6638 (multiplicity 2)
8 Fe 0.1554 0.2500 0.9731 (multiplicity 2)
9 Fe 0.3468 0.7500 0.4285 (multiplicity 2)
10 Bi 0.4509 0.7500 0.8233 (multiplicity 2)

Peak list (10 most intense, 2θ = 10–80°, in order of rising 2θ)
d [Å]  I/Imax
3.326  23.9
3.085  27.9
3.042  100.0
2.898  52.0
2.887  22.8
2.832  39.1
2.037  26.5
2.030  32.0
1.662  30.3
1.650  22.7

Entry 2:
Computed powder diffraction line list
Compound: TiFeBi
Radiation: Cu Kα
Structure: a structure optimized by DFT (PBE)

Structural model:
a = 3.2981 Å, b = 3.2981 Å, c = 23.0803 Å
α = 90.00°, β = 90.00°, γ = 90.00°
Space group I4/mmm (No. 139)
Asymmetric unit:
1 Ti 0.0000 0.0000 0.1728 (multiplicity 4)
2 Fe 0.0000 0.0000 0.2781 (multiplicity 4)
3 Bi 0.0000 0.0000 0.4145 (multiplicity 4)

Peak list (10 most intense, 2θ = 10–80°, in order of rising 2θ)
d [Å]  I/Imax
5.770  15.6
3.847  30.8
3.265  64.1
2.683  41.2
2.332  100.0
1.994  22.0
1.649  16.3
1.472  13.2
1.405  12.0
1.346  19.4

Entry 3:
Computed powder diffraction line list
Compound: Tm3Fe3Bi
Radiation: Cu Kα
Structure: a structure optimized by DFT (PBE)

Structural model:
a = 9.1862 Å, b = 9.1862 Å, c = 4.1849 Å
α = 90.00°, β = 90.00°, γ = 120.00°
Space group P6_3/m (No. 176)
Asymmetric unit:
1 Tm 0.0759 0.6841 0.2500 (multiplicity 6)
2 Fe 0.0205 0.8616 0.7500 (multiplicity 6)
3 Bi 0.3333 0.6667 0.7500 (multiplicity 2)

Peak list (10 most intense, 2θ = 10–80°, in order of rising 2θ)
d [Å]  I/Imax
3.093  83.1
3.007  56.3
2.883  73.4
2.652  43.6
2.442  100.0
2.206  21.6
2.092  34.5
1.718  22.2
1.673  43.7
1.352  21.6

Entry 4:
Computed powder diffraction line list
Compound: UFeBi
Radiation: Cu Kα
Structure: a structure optimized by DFT (PBE)

Structural model:
a = 3.5071 Å, b = 3.5910 Å, c = 11.0584 Å
α = 90.00°, β = 98.85°, γ = 90.00°
Space group P2_1/m (No. 11)
Asymmetric unit:
1 U 0.0664 0.2500 0.1371 (multiplicity 2)
2 Fe 0.4537 0.2500 0.9042 (multiplicity 2)
3 Bi 0.3298 0.2500 0.6498 (multiplicity 2)

Peak list (10 most intense, 2θ = 10–80°, in order of rising 2θ)
d [Å]  I/Imax
3.166  23.3
3.154  21.7
3.001  100.0
2.742  21.5
2.731  77.3
2.493  80.7
2.372  42.9
1.796  21.1
1.561  25.0
1.501  33.1

Entry 5:
Computed powder diffraction line list
Compound: Zr4FeBi
Radiation: Cu Kα
Structure: a structure optimized by DFT (PBE)

Structural model:
a = 7.8822 Å, b = 3.5688 Å, c = 18.4038 Å
α = 90.00°, β = 90.00°, γ = 90.00°
Space group Pnma (No. 62)
Asymmetric unit:
1 Zr 0.0192 0.2500 0.0670 (multiplicity 4)
2 Zr 0.0565 0.7500 0.2100 (multiplicity 4)
3 Zr 0.1320 0.7500 0.6483 (multiplicity 4)
4 Zr 0.1431 0.7500 0.4555 (multiplicity 4)
5 Fe 0.2339 0.2500 0.5557 (multiplicity 4)
6 Bi 0.2466 0.2500 0.3155 (multiplicity 4)

Peak list (10 most intense, 2θ = 10–80°, in order of rising 2θ)
d [Å]  I/Imax
2.873  54.5
2.655  100.0
2.618  56.5
2.562  54.4
2.437  45.5
2.429  81.2
2.300  40.8
2.282  62.6
2.148  44.6
1.784  44.6

Entry 6:
Computed powder diffraction line list
Compound: Zr5FeBi2
Radiation: Cu Kα
Structure: a structure optimized by DFT (PBE)

Structural model:
a = 7.4523 Å, b = 11.9969 Å, c = 4.0976 Å
α = 90.00°, β = 90.00°, γ = 90.00°
Space group Pbam (No. 55)
Asymmetric unit:
1 Zr 0.0000 0.0000 0.0000 (multiplicity 2)
2 Zr 0.1362 0.3164 0.0000 (multiplicity 4)
3 Zr 0.1806 0.5695 0.5000 (multiplicity 4)
4 Fe 0.0000 0.5000 0.0000 (multiplicity 2)
5 Bi 0.0666 0.8221 0.5000 (multiplicity 4)

Peak list (10 most intense, 2θ = 10–80°, in order of rising 2θ)
d [Å]  I/Imax
3.524  19.5
2.782  42.4
2.687  89.1
2.672  100.0
2.505  50.2
2.295  20.0
2.049  35.1
2.001  21.3
1.995  24.7
1.650  17.5

Entry 7:
Computed powder diffraction line list
Compound: GaBi
Radiation: Cu Kα
Structure: a structure optimized by DFT (PBE)

Structural model:
a = 9.9685 Å, b = 9.9685 Å, c = 4.5811 Å
α = 90.00°, β = 90.00°, γ = 90.00°
Space group P4/m (No. 83)
Asymmetric unit:
1 Ga 0.0246 0.6863 0.0000 (multiplicity 4)
2 Ga 0.1262 0.5378 0.5000 (multiplicity 4)
3 Bi 0.1536 0.1720 0.5000 (multiplicity 4)
4 Bi 0.2761 0.4396 0.0000 (multiplicity 4)

Peak list (10 most intense, 2θ = 10–80°, in order of rising 2θ)
d [Å]  I/Imax
4.163  95.9
3.323  26.9
3.152  33.0
2.793  53.9
2.765  51.2
2.690  100.0
2.597  68.6
2.291  46.1
2.189  31.9
1.764  28.0

Entry 8:
Computed powder diffraction line list
Compound: Ga4Bi
Radiation: Cu Kα
Structure: a structure optimized by DFT (PBE)

Structural model:
a = 3.8401 Å, b = 7.7706 Å, c = 14.6642 Å
α = 90.00°, β = 90.00°, γ = 90.00°
Space group Imma (No. 74)
Asymmetric unit:
1 Ga 0.0000 0.0000 0.0000 (multiplicity 4)
2 Ga 0.0000 0.0627 0.1842 (multiplicity 8)
3 Ga 0.0000 0.2500 0.4244 (multiplicity 4)
4 Bi 0.0000 0.2500 0.6298 (multiplicity 4)

Peak list (10 most intense, 2θ = 10–80°, in order of rising 2θ)
d [Å]  I/Imax
3.116  49.9
2.685  100.0
2.666  40.8
2.551  24.4
2.384  20.7
2.331  46.3
1.942  26.8
1.920  22.7
1.613  19.9
1.211  20.2

Entry 9:
Computed powder diffraction line list
Compound: GaGe2Bi2
Radiation: Cu Kα
Structure: a structure optimized by DFT (PBE)

Structural model:
a = 3.8125 Å, b = 3.8125 Å, c = 17.4978 Å
α = 90.00°, β = 90.00°, γ = 90.00°
Space group I4/mmm (No. 139)
Asymmetric unit:
1 Ga 0.0000 0.0000 0.0000 (multiplicity 2)
2 Ge 0.0000 0.5000 0.2500 (multiplicity 4)
3 Bi 0.0000 0.0000 0.4018 (multiplicity 4)

Peak list (10 most intense, 2θ = 10–80°, in order of rising 2θ)
d [Å]  I/Imax
3.725  48.0
3.191  16.9
2.916  17.3
2.696  17.3
2.577  100.0
2.295  31.6
1.906  23.0
1.596  11.9
1.533  27.0
1.468  23.9

Entry 10:
Computed powder diffraction line list
Compound: Hf4GaBi2
Radiation: Cu Kα
Structure: a structure optimized by DFT (PBE)

Structural model:
a = 7.5945 Å, b = 10.8617 Å, c = 4.1485 Å
α = 90.00°, β = 90.00°, γ = 90.00°
Space group Pbam (No. 55)
Asymmetric unit:
1 Hf 0.1566 0.2163 0.0000 (multiplicity 4)
2 Hf 0.1929 0.9326 0.5000 (multiplicity 4)
3 Ga 0.0000 0.0000 0.0000 (multiplicity 2)
4 Bi 0.0700 0.6573 0.5000 (multiplicity 4)

Peak list (10 most intense, 2θ = 10–80°, in order of rising 2θ)
d [Å]  I/Imax
3.268  23.2
2.712  100.0
2.620  28.6
2.567  37.5
2.557  42.0
2.489  39.1
2.272  26.7
2.074  40.3
2.008  20.2
1.611  21.0

Entry 11:
Computed powder diffraction line list
Compound: Hf6Ga3Bi
Radiation: Cu Kα
Structure: a structure optimized by DFT (PBE)

Structural model:
a = 9.4420 Å, b = 13.4619 Å, c = 6.8668 Å
α = 90.00°, β = 90.00°, γ = 90.00°
Space group Cmc2_1 (No. 36)
Asymmetric unit:
1 Hf 0.0000 0.0281 0.0000 (multiplicity 4)
2 Hf 0.0000 0.2907 0.1263 (multiplicity 4)
3 Hf 0.2098 0.3018 0.4850 (multiplicity 8)
4 Hf 0.2152 0.4585 0.1425 (multiplicity 8)
5 Ga 0.0000 0.4465 0.4255 (multiplicity 4)
6 Ga 0.1457 0.1225 0.3039 (multiplicity 8)
7 Bi 0.0000 0.1851 0.7233 (multiplicity 4)

Peak list (10 most intense, 2θ = 10–80°, in order of rising 2θ)
d [Å]  I/Imax
4.807  19.4
2.799  22.9
2.620  25.7
2.567  88.7
2.545  100.0
2.361  20.5
2.167  19.4
2.133  21.0
2.119  15.1
1.545  13.6

Entry 12:
Computed powder diffraction line list
Compound: Hf2GaBiIr
Radiation: Cu Kα
Structure: a structure optimized by DFT (PBE)

Structural model:
a = 5.0982 Å, b = 5.0982 Å, c = 4.7408 Å
α = 90.00°, β = 90.00°, γ = 90.00°
Space group P4/mmm (No. 123)
Asymmetric unit:
1 Hf 0.0000 0.5000 0.0000 (multiplicity 2)
2 Ga 0.0000 0.0000 0.5000 (multiplicity 1)
3 Bi 0.5000 0.5000 0.5000 (multiplicity 1)
4 Ir 0.0000 0.0000 0.0000 (multiplicity 1)

Peak list (10 most intense, 2θ = 10–80°, in order of rising 2θ)
d [Å]  I/Imax
4.741  24.2
3.472  68.5
2.870  80.3
2.549  100.0
2.370  40.8
2.055  33.6
1.802  36.1
1.736  64.1
1.526  24.5
1.435  34.3

Entry 13:
Computed powder diffraction line list
Compound: KGa2HgBi
Radiation: Cu Kα
Structure: a structure optimized by DFT (PBE)

Structural model:
a = 4.9011 Å, b = 5.1109 Å, c = 11.6362 Å
α = 90.00°, β = 90.00°, γ = 90.00°
Space group Imm2 (No. 44)
Asymmetric unit:
1 K 0.0000 0.0000 0.0000 (multiplicity 2)
2 Ga 0.0000 0.0000 0.3641 (multiplicity 2)
3 Ga 0.0000 0.5000 0.2636 (multiplicity 2)
4 Hg 0.0000 0.5000 0.7657 (multiplicity 2)
5 Bi 0.0000 0.0000 0.6095 (multiplicity 2)

Peak list (10 most intense, 2θ = 10–80°, in order of rising 2θ)
d [Å]  I/Imax
5.818  34.8
4.679  33.1
4.517  55.6
3.090  44.8
3.023  100.0
2.555  38.0
2.451  33.8
2.247  68.0
1.920  27.6
1.769  25.3